[1]
This entry pairs a crystal structure of Na2UI2N2 with its theoretical powder X-ray diffraction pattern. Radiation: Cu Kα (weighted mean of Kα1 and Kα2). Structure: a DFT-relaxed cell (PBE, Alexandria).

Principal peaks in the range 2θ from 10° to 80°, in order of rising 2θ:
- d = 4.121 Å, rel. 100
- d = 3.357 Å, rel. 27
- d = 2.977 Å, rel. 52
- d = 2.911 Å, rel. 39
- d = 2.376 Å, rel. 50
- d = 2.228 Å, rel. 27
- d = 2.105 Å, rel. 24
- d = 1.875 Å, rel. 24
- d = 1.784 Å, rel. 18
- d = 1.576 Å, rel. 28

```
Na2UI2N2
1.0
4.2105 0.0000 0.0000
0.0000 4.2105 0.0000
0.0000 0.0000 20.1442
Na U I N
4 2 4 4
Cartesian
0.0000 0.0000 1.8423 Na
0.0000 0.0000 18.3019 Na
2.1052 2.1052 8.2298 Na
2.1052 2.1052 11.9144 Na
0.0000 0.0000 10.0721 U
2.1052 2.1052 0.0000 U
0.0000 0.0000 6.9467 I
0.0000 0.0000 13.1975 I
2.1052 2.1052 3.1254 I
2.1052 2.1052 17.0189 I
0.0000 2.1052 0.0000 N
0.0000 2.1052 10.0721 N
2.1052 0.0000 0.0000 N
2.1052 0.0000 10.0721 N
```

---

[2]
This entry pairs a crystal structure of ZrV3Ge2 with its theoretical powder X-ray diffraction pattern. Radiation: Cu Kα (weighted mean of Kα1 and Kα2). Structure: a DFT-relaxed cell (PBE, Alexandria).

Principal peaks in the range 2θ from 10° to 80°, in order of rising 2θ:
- d = 2.829 Å, rel. 57
- d = 2.483 Å, rel. 25
- d = 2.362 Å, rel. 83
- d = 2.188 Å, rel. 100
- d = 2.159 Å, rel. 62
- d = 2.052 Å, rel. 63
- d = 1.954 Å, rel. 17
- d = 1.911 Å, rel. 21
- d = 1.589 Å, rel. 19
- d = 1.256 Å, rel. 16

```
ZrV3Ge2
1.0
6.6243 -2.0516 0.0000
6.6243 2.0516 0.0000
-3.7227 0.0000 7.0359
Zr V Ge
2 6 4
Cartesian
1.7222 0.0000 0.3986 Zr
7.8038 0.0000 6.6373 Zr
-0.7791 0.0000 2.6146 V
2.2045 0.0000 3.6256 V
4.3488 0.0000 2.3968 V
5.1772 0.0000 4.6391 V
7.3215 0.0000 3.4103 V
10.3051 0.0000 4.4213 V
-0.0997 0.0000 5.1022 Ge
3.1350 0.0000 5.8879 Ge
6.3911 0.0000 1.1481 Ge
9.6258 0.0000 1.9337 Ge
```

---

[3]
This entry pairs a crystal structure of LiMn2Hg2 with its theoretical powder X-ray diffraction pattern. Radiation: Cu Kα (weighted mean of Kα1 and Kα2). Structure: a DFT-relaxed cell (PBE, Alexandria).

Principal peaks in the range 2θ from 10° to 80°, in order of rising 2θ:
- d = 5.604 Å, rel. 31
- d = 3.963 Å, rel. 44
- d = 3.544 Å, rel. 49
- d = 3.064 Å, rel. 16
- d = 2.506 Å, rel. 25
- d = 2.424 Å, rel. 31
- d = 2.318 Å, rel. 100
- d = 1.922 Å, rel. 30
- d = 1.868 Å, rel. 18
- d = 1.628 Å, rel. 31

```
LiMn2Hg2
1.0
7.9257 0.0000 0.0000
0.0000 7.9257 0.0000
0.0000 0.0000 3.0638
Li Mn Hg
2 4 4
Cartesian
0.0000 0.0000 0.0000 Li
3.9628 3.9628 0.0000 Li
0.9482 3.0146 0.0000 Mn
3.0146 6.9774 0.0000 Mn
4.9111 0.9482 0.0000 Mn
6.9774 4.9111 0.0000 Mn
1.4167 5.3796 1.5319 Hg
2.5461 1.4167 1.5319 Hg
5.3796 6.5089 1.5319 Hg
6.5089 2.5461 1.5319 Hg
```

---

[4]
This entry pairs a crystal structure of Ce2YAu with its theoretical powder X-ray diffraction pattern. Radiation: Cu Kα (weighted mean of Kα1 and Kα2). Structure: a DFT-relaxed cell (PBE, Alexandria).

Principal peaks in the range 2θ from 10° to 80°, in order of rising 2θ:
- d = 7.752 Å, rel. 36
- d = 2.728 Å, rel. 100
- d = 2.716 Å, rel. 59
- d = 2.563 Å, rel. 11
- d = 2.144 Å, rel. 20
- d = 1.920 Å, rel. 21
- d = 1.578 Å, rel. 11
- d = 1.570 Å, rel. 38
- d = 1.430 Å, rel. 11
- d = 1.215 Å, rel. 18

```
Ce2YAu
1.0
3.8406 0.0000 0.0000
0.0000 3.8406 0.0000
0.0000 0.0000 7.7522
Ce Y Au
2 1 1
Cartesian
0.0000 0.0000 1.5707 Ce
0.0000 0.0000 6.1815 Ce
1.9203 1.9203 3.8761 Y
1.9203 1.9203 0.0000 Au
```

---

[5]
This entry pairs a crystal structure of Hf5SiSb2 with its theoretical powder X-ray diffraction pattern. Radiation: Cu Kα (weighted mean of Kα1 and Kα2). Structure: a DFT-relaxed cell (PBE, Alexandria).

Principal peaks in the range 2θ from 10° to 80°, in order of rising 2θ:
- d = 6.752 Å, rel. 30
- d = 4.740 Å, rel. 27
- d = 3.371 Å, rel. 22
- d = 3.057 Å, rel. 25
- d = 2.742 Å, rel. 21
- d = 2.580 Å, rel. 15
- d = 2.533 Å, rel. 100
- d = 2.383 Å, rel. 70
- d = 2.240 Å, rel. 56
- d = 1.431 Å, rel. 18

```
Hf5SiSb2
1.0
2.5311 -6.7518 0.0000
2.5311 6.7518 0.0000
0.0000 0.0000 12.0001
Hf Si Sb
10 2 4
Cartesian
2.5311 5.4076 7.5003 Hf
2.5311 5.4076 10.4999 Hf
2.5311 2.6601 3.0000 Hf
2.5311 2.5608 6.3610 Hf
2.5311 2.5608 11.6391 Hf
2.5311 -2.5608 0.3610 Hf
2.5311 -2.5608 5.6391 Hf
2.5311 -2.6601 9.0001 Hf
2.5311 -5.4076 1.5002 Hf
2.5311 -5.4076 4.4998 Hf
2.5311 3.1715 9.0001 Si
2.5311 -3.1715 3.0000 Si
2.5311 5.2086 1.4074 Sb
2.5311 5.2086 4.5927 Sb
2.5311 -5.2086 7.4074 Sb
2.5311 -5.2086 10.5927 Sb
```

---

[6]
This entry pairs a crystal structure of Ca3HfU3As8 with its theoretical powder X-ray diffraction pattern. Radiation: Cu Kα (weighted mean of Kα1 and Kα2). Structure: a DFT-relaxed cell (PBE, Alexandria).

Principal peaks in the range 2θ from 10° to 80°, in order of rising 2θ:
- d = 6.880 Å, rel. 66
- d = 3.483 Å, rel. 29
- d = 2.915 Å, rel. 100
- d = 2.264 Å, rel. 18
- d = 2.084 Å, rel. 36
- d = 2.040 Å, rel. 37
- d = 1.956 Å, rel. 18
- d = 1.671 Å, rel. 19
- d = 1.315 Å, rel. 15
- d = 1.293 Å, rel. 17

```
Ca3HfU3As8
1.0
4.0800 2.3556 6.8795
-4.0800 2.3556 6.8795
0.0000 -4.7112 6.8795
Ca Hf U As
3 1 3 8
Cartesian
-2.0400 -1.1778 6.8795 Ca
-2.0400 1.1778 13.7590 Ca
0.0000 2.3556 6.8795 Ca
0.0000 0.0000 10.3193 Hf
-4.0800 0.0000 10.3193 U
-2.0400 1.1778 3.4398 U
2.0400 1.1778 3.4398 U
0.0000 0.0000 5.0450 As
-2.0077 -1.1591 11.8404 As
0.0000 -2.3183 8.7982 As
-2.0077 1.1591 8.7982 As
2.0077 -1.1591 11.8404 As
0.0000 2.3183 11.8404 As
2.0077 1.1591 8.7982 As
0.0000 0.0000 15.5936 As
```

---

[7]
This entry pairs a crystal structure of Er5TmTlIn2 with its theoretical powder X-ray diffraction pattern. Radiation: Cu Kα (weighted mean of Kα1 and Kα2). Structure: a DFT-relaxed cell (PBE, Alexandria).

Principal peaks in the range 2θ from 10° to 80°, in order of rising 2θ:
- d = 2.969 Å, rel. 79
- d = 2.747 Å, rel. 100
- d = 2.656 Å, rel. 11
- d = 2.299 Å, rel. 19
- d = 2.099 Å, rel. 13
- d = 2.017 Å, rel. 16
- d = 1.817 Å, rel. 13
- d = 1.668 Å, rel. 25
- d = 1.549 Å, rel. 18
- d = 1.374 Å, rel. 13

```
Er5TmTlIn2
1.0
-4.1996 4.1996 7.2645
4.1996 -4.1996 7.2645
4.1996 4.1996 -7.2645
Er Tm Tl In
10 2 2 4
Cartesian
0.0000 0.0000 0.0000 Er
5.9706 1.7710 -1.9542 Er
1.7710 2.4286 -1.9542 Er
5.9706 1.7710 1.9542 Er
1.7710 2.4286 1.9542 Er
0.0000 0.0000 7.2645 Er
2.4286 1.7710 5.3103 Er
-1.7710 2.4286 5.3103 Er
2.4286 1.7710 9.2188 Er
-1.7710 2.4286 9.2188 Er
4.1996 0.0000 3.6323 Tm
0.0000 4.1996 3.6323 Tm
0.0000 0.0000 3.6323 Tl
0.0000 0.0000 10.8968 Tl
3.2588 0.9408 0.0000 In
3.2588 -0.9408 7.2645 In
0.9408 5.1404 0.0000 In
0.9408 3.2588 7.2645 In
```

---

[8]
This entry pairs a crystal structure of Ba3SmTl4 with its theoretical powder X-ray diffraction pattern. Radiation: Cu Kα (weighted mean of Kα1 and Kα2). Structure: a DFT-relaxed cell (PBE, Alexandria).

Principal peaks in the range 2θ from 10° to 80°, in order of rising 2θ:
- d = 2.971 Å, rel. 100
- d = 2.929 Å, rel. 55
- d = 2.132 Å, rel. 7
- d = 2.071 Å, rel. 21
- d = 1.724 Å, rel. 14
- d = 1.699 Å, rel. 39
- d = 1.486 Å, rel. 8
- d = 1.464 Å, rel. 7
- d = 1.313 Å, rel. 9
- d = 1.310 Å, rel. 10

```
Ba3SmTl4
1.0
4.1417 0.0000 0.0000
0.0000 4.1417 0.0000
0.0000 0.0000 17.0593
Ba Sm Tl
3 1 4
Cartesian
0.0000 0.0000 0.0000 Ba
0.0000 0.0000 4.4618 Ba
0.0000 0.0000 12.5976 Ba
0.0000 0.0000 8.5297 Sm
2.0709 2.0709 2.1773 Tl
2.0709 2.0709 6.8144 Tl
2.0709 2.0709 10.2449 Tl
2.0709 2.0709 14.8821 Tl
```

---

[9]
This entry pairs a crystal structure of TlRh3 with its theoretical powder X-ray diffraction pattern. Radiation: Cu Kα (weighted mean of Kα1 and Kα2). Structure: a DFT-relaxed cell (PBE, Alexandria).

Principal peaks in the range 2θ from 10° to 80°, in order of rising 2θ:
- d = 3.605 Å, rel. 20
- d = 2.549 Å, rel. 45
- d = 2.280 Å, rel. 62
- d = 2.081 Å, rel. 100
- d = 1.802 Å, rel. 3
- d = 1.612 Å, rel. 5
- d = 1.414 Å, rel. 13
- d = 1.362 Å, rel. 51
- d = 1.274 Å, rel. 14
- d = 1.202 Å, rel. 3

```
TlRh3
1.0
5.0976 0.0000 0.0000
0.0000 5.0976 0.0000
0.0000 0.0000 5.0976
Tl Rh
2 6
Cartesian
0.0000 0.0000 0.0000 Tl
2.5488 2.5488 2.5488 Tl
0.0000 1.2744 2.5488 Rh
0.0000 3.8232 2.5488 Rh
1.2744 2.5488 0.0000 Rh
2.5488 0.0000 1.2744 Rh
2.5488 0.0000 3.8232 Rh
3.8232 2.5488 0.0000 Rh
```

---

[10]
This entry pairs a crystal structure of Tm4Zr6Sc19 with its theoretical powder X-ray diffraction pattern. Radiation: Cu Kα (weighted mean of Kα1 and Kα2). Structure: a DFT-relaxed cell (PBE, Alexandria).

Principal peaks in the range 2θ from 10° to 80°, in order of rising 2θ:
- d = 5.084 Å, rel. 33
- d = 3.454 Å, rel. 21
- d = 2.809 Å, rel. 17
- d = 2.755 Å, rel. 18
- d = 2.653 Å, rel. 72
- d = 2.569 Å, rel. 67
- d = 2.558 Å, rel. 100
- d = 2.529 Å, rel. 68
- d = 2.465 Å, rel. 38
- d = 1.660 Å, rel. 19

```
Tm4Zr6Sc19
1.0
7.7456 0.0000 0.0000
-1.4489 10.1759 0.0000
-2.1012 -4.8874 9.1886
Tm Zr Sc
4 6 19
Cartesian
0.0000 0.0000 0.0000 Tm
-1.5209 4.7580 3.9676 Tm
0.0376 0.2975 7.9475 Tm
4.5501 -0.8494 5.0113 Tm
-0.0207 -1.3476 5.1155 Zr
0.9953 2.5636 3.3582 Zr
2.2389 2.3644 0.6711 Zr
4.5459 0.4305 0.2485 Zr
3.0706 4.9167 3.8321 Zr
6.6150 0.1071 2.7581 Zr
-2.0891 -1.7860 7.8278 Sc
-1.4940 7.4246 2.0049 Sc
-1.1190 1.6649 5.4632 Sc
-1.2945 6.1673 7.0470 Sc
-1.0822 3.2493 8.7742 Sc
0.9294 5.2380 1.6070 Sc
2.0966 -0.3616 2.5911 Sc
0.8206 6.9618 4.4376 Sc
0.9846 4.1172 6.1172 Sc
2.0895 1.0809 5.7738 Sc
2.3804 -1.8278 7.5370 Sc
3.0877 7.6650 2.2525 Sc
2.0408 2.8478 8.6559 Sc
4.2600 4.8913 1.0722 Sc
4.1353 2.0370 3.2323 Sc
3.1315 6.2723 6.3847 Sc
4.2299 3.4685 6.3315 Sc
4.4062 0.9451 8.2038 Sc
6.5034 2.8054 1.2712 Sc
```

---

[11]
This entry pairs a crystal structure of TbY2As3 with its theoretical powder X-ray diffraction pattern. Radiation: Cu Kα (weighted mean of Kα1 and Kα2). Structure: a DFT-relaxed cell (PBE, Alexandria).

Principal peaks in the range 2θ from 10° to 80°, in order of rising 2θ:
- d = 6.192 Å, rel. 3
- d = 5.280 Å, rel. 4
- d = 3.371 Å, rel. 7
- d = 2.962 Å, rel. 2
- d = 2.920 Å, rel. 100
- d = 2.065 Å, rel. 74
- d = 1.761 Å, rel. 3
- d = 1.686 Å, rel. 26
- d = 1.460 Å, rel. 12
- d = 1.306 Å, rel. 33

```
TbY2As3
1.0
4.1319 0.0000 0.0000
0.0000 5.8373 0.0000
0.0000 0.0000 12.3833
Tb Y As
2 4 6
Cartesian
0.0000 0.0000 0.0000 Tb
2.0659 2.9187 6.1917 Tb
0.0000 0.0000 4.1284 Y
0.0000 0.0000 8.2549 Y
2.0659 2.9187 2.0632 Y
2.0659 2.9187 10.3201 Y
0.0000 2.9187 0.0000 As
0.0000 2.9187 4.1243 As
0.0000 2.9187 8.2590 As
2.0659 0.0000 2.0673 As
2.0659 0.0000 6.1917 As
2.0659 0.0000 10.3160 As
```

---

[12]
This entry pairs a crystal structure of Li3ErCl6 with its theoretical powder X-ray diffraction pattern. Radiation: Cu Kα (weighted mean of Kα1 and Kα2). Structure: a DFT-relaxed cell (PBE, Alexandria).

Principal peaks in the range 2θ from 10° to 80°, in order of rising 2θ:
- d = 5.574 Å, rel. 99
- d = 5.177 Å, rel. 100
- d = 3.793 Å, rel. 44
- d = 3.136 Å, rel. 45
- d = 2.850 Å, rel. 63
- d = 2.787 Å, rel. 23
- d = 2.687 Å, rel. 38
- d = 2.454 Å, rel. 28
- d = 2.220 Å, rel. 66
- d = 1.858 Å, rel. 34

```
Li3ErCl6
1.0
11.1474 0.0000 0.0000
-5.5737 9.6539 0.0000
0.0000 0.0000 6.1334
Li Er Cl
9 3 18
Cartesian
-1.9083 3.3052 0.0000 Li
-3.6913 6.3936 0.0000 Li
-3.7868 6.5590 3.0667 Li
1.7868 3.0949 3.0667 Li
1.8824 3.2603 0.0000 Li
3.8165 0.0000 0.0000 Li
3.6654 6.3487 0.0000 Li
7.3827 0.0000 0.0000 Li
7.5737 0.0000 3.0667 Li
0.0000 0.0000 0.0000 Er
0.0000 6.4359 3.1151 Er
5.5737 3.2180 3.0182 Er
-1.9218 5.4192 4.6196 Cl
-3.6559 8.5344 4.7393 Cl
0.0106 2.2206 4.7393 Cl
-1.9284 7.4492 1.6371 Cl
0.0867 4.2592 1.6371 Cl
1.9178 1.1195 1.3941 Cl
1.8414 5.2800 4.6196 Cl
3.6453 2.2047 4.4963 Cl
0.0803 8.6086 4.6196 Cl
3.6519 4.2347 1.5137 Cl
1.8417 7.5994 1.6371 Cl
5.6540 1.0453 1.5137 Cl
3.6453 8.5528 4.7393 Cl
7.4154 2.0545 4.4963 Cl
5.6604 5.3947 4.4963 Cl
9.2190 1.1011 1.3941 Cl
5.5843 7.4333 1.3941 Cl
7.4151 4.3739 1.5137 Cl
```